K3Cd2PdF9: calculated X-ray diffraction stick pattern (CuKα), based on a cell relaxed with GGA-PBE.
Kinematic intensities with the Lorentz-polarization factor, no thermal factor.

Largest 9 diffraction maxima, low angle first, 5 to 70 degrees two-theta:
- d 4.430, intensity 56, (1 0 1)
- d 3.132, intensity 100, (1 1 0)
- d 2.215, intensity 46, (2 0 2)
- d 1.981, intensity 26, (1 1 3)
- d 1.808, intensity 39, (3 0 0)
- d 1.566, intensity 27, (2 2 0)
- d 1.477, intensity 7, (0 1 5)
- d 1.476, intensity 5, (1 3 1)
- d 1.401, intensity 16, (3 1 2)

Cell lengths 6.2606, 6.2606, 7.6825 Å; angles 90.00, 90.00, 120.00 degrees
Space group P-3m1 (No. 164)
One atom of each set of equivalent atoms:
K 0.0000 0.0000 0.0000 x1
K 0.3333 0.6667 0.6565 x2
Cd 0.3333 0.6667 0.1682 x2
Pd 0.0000 0.0000 0.5000 x1
F 0.0000 0.5000 0.0000 x3
F 0.1657 0.3315 0.3375 x6